K2VF4: theoretical PXRD pattern (Cu Kα X-rays), based on a cell relaxed with PBE+U.

Largest 8 diffraction maxima, in order of falling intensity, 2θ = 15–90°:
index	2theta	intensity
1 3 1	29.19	100
2 0 2	43.07	91
2 0 0	30.15	53
0 0 2	30.02	53
0 6 0	40.42	44
2 6 2	60.53	43
2 4 0	40.60	35
2 6 0	51.20	28

Crystal structure
```
28
Lattice="5.9291 0.0000 0.0000 0.0000 13.3905 0.0000 0.0000 0.0000 5.9526" Properties=species:S:1:pos:R:3 pbc="T T T"
K 0.0077 1.9659 0.0320
K 0.0077 4.7293 3.0083
K 2.9568 8.6612 0.0320
K 2.9568 11.4246 3.0083
K 2.9723 1.9659 2.9442
K 2.9723 4.7293 5.9205
K 5.9214 8.6612 2.9442
K 5.9214 11.4246 5.9205
V 0.0000 0.0000 2.9763
V 0.0000 6.6953 0.0000
V 2.9646 0.0000 0.0000
V 2.9646 6.6953 2.9763
F 0.0048 8.8162 0.0944
F 0.0048 11.2695 3.0707
F 1.4549 6.7711 4.4371
F 1.4549 13.3147 1.4608
F 1.5097 0.0758 4.4371
F 1.5097 6.6194 1.4608
F 2.9598 2.1210 0.0944
F 2.9598 4.5743 3.0707
F 2.9694 8.8162 2.8819
F 2.9694 11.2695 5.8581
F 4.4194 6.7711 4.4917
F 4.4194 13.3147 1.5155
F 4.4743 0.0758 4.4917
F 4.4743 6.6194 1.5155
F 5.9243 2.1210 2.8819
F 5.9243 4.5743 5.8581
```